No. 1
The following is a theoretical PXRD pattern of Cs2Hg2RhI4. It was derived from the GGA-PBE geometry in Alexandria, using copper Kα.
Intensities are scaled so that the largest is 100.

Atomic structure:
Cell: 8.9957 8.9957 8.7107 Å, 90.00 90.00 90.00°
Space group I4/mmm (No. 139)
Asymmetric unit:
Cs (0.0000, 0.5000, 0.2500) x4
Hg (0.0000, 0.0000, 0.1755) x4
Rh (0.0000, 0.0000, 0.5000) x2
I (0.2123, 0.2123, 0.5000) x8

The 10 most intense peaks (10° ≤ 2θ ≤ 80°), low angle first:
d/Å, two_theta, I/Imax, h k l
6.361, 13.92, 27, 1 1 0
3.180, 28.06, 100, 2 2 0
3.129, 28.53, 99, 2 0 2
2.835, 31.55, 18, 3 0 1
2.763, 32.40, 39, 1 0 3
2.354, 38.23, 21, 2 1 3
2.249, 40.09, 32, 4 0 0
1.892, 48.08, 42, 3 2 3
1.826, 49.94, 25, 4 2 2
1.529, 60.54, 19, 5 0 3



No. 2
The following is a theoretical PXRD pattern of TaTi3Ir2. It was derived from the GGA-PBE geometry in Alexandria, using copper Kα.
Intensities are scaled so that the largest is 100.

Atomic structure:
Cell: 3.1496 3.1496 9.5730 Å, 90.00 90.00 90.00°
Space group P4/mmm (No. 123)
Asymmetric unit:
Ta (0.0000, 0.0000, 0.0000) x1
Ti (0.5000, 0.5000, 0.1776) x2
Ti (0.5000, 0.5000, 0.5000) x1
Ir (0.0000, 0.0000, 0.3424) x2

The 10 most intense peaks (10° ≤ 2θ ≤ 80°), low angle first:
d/Å, two_theta, I/Imax, h k l
3.191, 27.96, 23, 0 0 3
3.150, 28.34, 45, 1 0 0
2.242, 40.23, 100, 1 0 3
2.227, 40.50, 50, 1 1 0
1.826, 49.94, 20, 1 1 3
1.575, 58.62, 17, 2 0 0
1.412, 66.17, 9, 2 0 3
1.409, 66.37, 9, 2 1 0
1.297, 72.94, 16, 1 1 6
1.289, 73.49, 33, 2 1 3



No. 3
The following is a theoretical PXRD pattern of Ac4LaRh4. It was derived from the GGA-PBE geometry in Alexandria, using copper Kα.
Intensities are scaled so that the largest is 100.

Atomic structure:
Cell: 14.0741 4.2956 10.3783 Å, 90.00 119.81 90.00°
Space group C2/m (No. 12)
Asymmetric unit:
Ac (0.1080, 0.0000, 0.3928) x4
Ac (0.1996, 0.5000, 0.8078) x4
La (0.0000, 0.5000, 0.0000) x2
Rh (0.0909, 0.0000, 0.8911) x4
Rh (0.2104, 0.5000, 0.3017) x4

The 10 most intense peaks (10° ≤ 2θ ≤ 80°), low angle first:
d/Å, two_theta, I/Imax, h k l
3.486, 25.55, 25, 1 1 1
3.460, 25.74, 23, 4 0 -1
3.020, 29.58, 100, 3 1 -2
2.984, 29.94, 49, 2 0 2
2.148, 42.07, 20, 0 2 0
2.123, 42.59, 91, 1 1 -4
1.743, 52.49, 21, 2 2 2
1.730, 52.92, 18, 4 0 -6
1.338, 70.38, 16, 1 1 6
1.226, 77.95, 16, 4 2 4